Record 1
Calculated X-ray diffraction stick pattern of VRu3Rh for Cu Kα X-rays, from a PBE-relaxed structure.
Intensities are scaled so that the largest is 100.

Largest 12 diffraction maxima, low angle first, 2θ from 10° to 80°:
(1 0 1), 21.01°, d 4.228, rel. 76
(0 0 3), 21.18°, d 4.194, rel. 65
(0 2 1), 40.88°, d 2.207, rel. 61
(0 1 5), 41.12°, d 2.195, rel. 13
(2 0 2), 42.78°, d 2.114, rel. 100
(0 0 6), 43.13°, d 2.097, rel. 33
(0 2 4), 49.91°, d 1.827, rel. 63
(2 1 1), 54.58°, d 1.681, rel. 12
(2 0 5), 54.80°, d 1.675, rel. 14
(2 2 0), 73.01°, d 1.296, rel. 20
(2 0 8), 73.52°, d 1.288, rel. 19
(2 2 3), 77.00°, d 1.238, rel. 14

Structure:
a = 5.1833 Å, b = 5.1833 Å, c = 12.5835 Å
α = 90.00°, β = 90.00°, γ = 120.00°
Space group R-3m (No. 166, hexagonal axes)
Unique sites:
V 0.0000 0.0000 0.0000 (multiplicity 3)
Ru 0.0000 0.5000 0.0000 (multiplicity 9)
Rh 0.0000 0.0000 0.5000 (multiplicity 3)


Record 2
Calculated X-ray diffraction stick pattern of V4Ru2Rh3 for Cu Kα X-rays, from a PBE-relaxed structure.
Intensities are scaled so that the largest is 100.

Largest 12 diffraction maxima, low angle first, 2θ from 10° to 80°:
(1 0 1), 26.62°, d 3.348, rel. 8
(1 0 2), 33.05°, d 2.710, rel. 28
(0 1 3), 41.83°, d 2.160, rel. 95
(1 1 0), 42.46°, d 2.129, rel. 100
(0 2 2), 54.84°, d 1.674, rel. 7
(0 0 5), 57.66°, d 1.599, rel. 4
(2 0 3), 61.13°, d 1.516, rel. 29
(2 1 2), 71.72°, d 1.316, rel. 6
(1 1 5), 74.18°, d 1.278, rel. 11
(1 0 6), 75.94°, d 1.253, rel. 11
(1 2 3), 77.25°, d 1.235, rel. 29
(3 0 0), 77.69°, d 1.229, rel. 16

Structure:
a = 4.2578 Å, b = 4.2578 Å, c = 7.9936 Å
α = 90.00°, β = 90.00°, γ = 120.00°
Space group P-3m1 (No. 164)
Unique sites:
V 0.0000 0.0000 0.1522 (multiplicity 2)
V 0.3333 0.6667 0.6040 (multiplicity 2)
Ru 0.3333 0.6667 0.2892 (multiplicity 2)
Rh 0.0000 0.0000 0.5000 (multiplicity 1)
Rh 0.3333 0.6667 0.9143 (multiplicity 2)


Record 3
Calculated X-ray diffraction stick pattern of Ru3Rh2W3 for Cu Kα X-rays, from a PBE-relaxed structure.
Intensities are scaled so that the largest is 100.

Largest 12 diffraction maxima, low angle first, 2θ from 10° to 80°:
(0 0 1), 11.30°, d 7.831, rel. 1
(1 0 0), 23.05°, d 3.858, rel. 5
(0 1 2), 32.39°, d 2.764, rel. 4
(1 1 2), 40.13°, d 2.247, rel. 100
(0 0 4), 46.38°, d 1.958, rel. 16
(0 2 0), 46.55°, d 1.951, rel. 16
(2 0 0), 47.11°, d 1.929, rel. 16
(1 0 4), 52.41°, d 1.746, rel. 1
(2 1 2), 58.34°, d 1.582, rel. 2
(0 2 4), 67.81°, d 1.382, rel. 10
(2 0 4), 68.26°, d 1.374, rel. 10
(2 2 0), 68.39°, d 1.372, rel. 10

Structure:
a = 3.858 Å, b = 3.902 Å, c = 7.831 Å
α = 90.00°, β = 90.00°, γ = 90.00°
Space group Pmmm (No. 47)
Unique sites:
Ru 0.000 0.000 0.000 (multiplicity 1)
Ru 0.000 0.000 0.500 (multiplicity 1)
Ru 0.500 0.500 0.000 (multiplicity 1)
Rh 0.000 0.500 0.247 (multiplicity 2)
W 0.500 0.000 0.243 (multiplicity 2)
W 0.500 0.500 0.500 (multiplicity 1)


Record 4
Calculated X-ray diffraction stick pattern of Ru5RhW2 for Cu Kα X-rays, from a PBE-relaxed structure.
Intensities are scaled so that the largest is 100.

Largest 12 diffraction maxima, low angle first, 2θ from 10° to 80°:
(1 1 0), 22.96°, d 3.873, rel. 5
(0 0 2), 23.10°, d 3.850, rel. 3
(2 0 0), 32.76°, d 2.733, rel. 6
(2 0 2), 40.42°, d 2.232, rel. 100
(2 2 0), 46.92°, d 1.936, rel. 33
(0 0 4), 47.21°, d 1.925, rel. 16
(2 2 2), 52.89°, d 1.731, rel. 2
(1 1 4), 53.12°, d 1.724, rel. 1
(3 1 2), 58.42°, d 1.580, rel. 2
(2 0 4), 58.61°, d 1.575, rel. 1
(4 0 0), 68.53°, d 1.369, rel. 10
(2 2 4), 68.76°, d 1.365, rel. 20

Structure:
a = 5.477 Å, b = 5.477 Å, c = 7.701 Å
α = 90.00°, β = 90.00°, γ = 90.00°
Space group I4/mmm (No. 139)
Unique sites:
Ru 0.000 0.000 0.000 (multiplicity 2)
Ru 0.250 0.250 0.250 (multiplicity 8)
Rh 0.000 0.000 0.500 (multiplicity 2)
W 0.000 0.500 0.000 (multiplicity 4)


Record 5
Calculated X-ray diffraction stick pattern of RuRhW for Cu Kα X-rays, from a PBE-relaxed structure.
Intensities are scaled so that the largest is 100.

Largest 12 diffraction maxima, low angle first, 2θ from 10° to 80°:
(0 0 2), 20.38°, d 4.357, rel. 11
(1 1 1), 29.47°, d 3.031, rel. 7
(0 2 0), 39.27°, d 2.294, rel. 30
(2 0 0), 39.56°, d 2.278, rel. 30
(1 1 3), 41.81°, d 2.161, rel. 100
(2 2 0), 56.96°, d 1.617, rel. 20
(1 1 5), 60.33°, d 1.534, rel. 5
(0 0 6), 64.12°, d 1.452, rel. 6
(1 3 3), 72.91°, d 1.297, rel. 19
(3 1 3), 73.30°, d 1.292, rel. 19
(0 2 6), 77.84°, d 1.227, rel. 7
(2 0 6), 78.03°, d 1.225, rel. 7

Structure:
a = 4.557 Å, b = 4.589 Å, c = 8.714 Å
α = 90.00°, β = 90.00°, γ = 90.00°
Space group Cmc2_1 (No. 36)
Unique sites:
Ru 0.000 0.239 0.000 (multiplicity 4)
Rh 0.000 0.235 0.312 (multiplicity 4)
W 0.000 0.242 0.649 (multiplicity 4)


Record 6
Calculated X-ray diffraction stick pattern of RuRh3W2 for Cu Kα X-rays, from a PBE-relaxed structure.
Intensities are scaled so that the largest is 100.

Largest 12 diffraction maxima, low angle first, 2θ from 10° to 80°:
(0 0 1), 13.18°, d 6.719, rel. 6
(1 0 -1), 22.67°, d 3.922, rel. 7
(0 1 0), 32.62°, d 2.745, rel. 3
(1 0 2), 32.82°, d 2.729, rel. 3
(1 1 -1), 40.09°, d 2.249, rel. 100
(0 0 3), 40.26°, d 2.240, rel. 100
(2 0 -2), 46.29°, d 1.961, rel. 33
(1 1 2), 46.95°, d 1.935, rel. 63
(0 1 3), 52.75°, d 1.735, rel. 3
(1 1 -4), 68.06°, d 1.377, rel. 41
(0 2 0), 68.35°, d 1.373, rel. 10
(2 0 4), 68.82°, d 1.364, rel. 10

Structure:
a = 4.779 Å, b = 2.745 Å, c = 6.720 Å
α = 90.00°, β = 90.88°, γ = 90.00°
Space group P2/m (No. 10)
Unique sites:
Ru 0.000 0.000 0.000 (multiplicity 1)
Rh 0.174 0.500 0.666 (multiplicity 2)
Rh 0.500 0.500 0.000 (multiplicity 1)
W 0.324 0.000 0.330 (multiplicity 2)


Record 7
Calculated X-ray diffraction stick pattern of Ru3RhW2 for Cu Kα X-rays, from a PBE-relaxed structure.
Intensities are scaled so that the largest is 100.

Largest 12 diffraction maxima, low angle first, 2θ from 10° to 80°:
(1 2 1), 26.44°, d 3.371, rel. 100
(2 1 1), 30.54°, d 2.927, rel. 12
(2 0 2), 40.63°, d 2.221, rel. 37
(2 4 0), 42.87°, d 2.109, rel. 51
(1 3 2), 43.40°, d 2.085, rel. 34
(2 2 2), 44.35°, d 2.043, rel. 28
(3 3 0), 45.73°, d 1.984, rel. 10
(0 4 2), 47.81°, d 1.902, rel. 21
(4 0 0), 50.17°, d 1.818, rel. 13
(3 1 2), 50.54°, d 1.806, rel. 17
(1 2 3), 53.63°, d 1.709, rel. 15
(5 3 2), 79.20°, d 1.209, rel. 15

Structure:
a = 7.273 Å, b = 10.358 Å, c = 5.608 Å
α = 90.00°, β = 90.00°, γ = 90.00°
Space group Ibam (No. 72)
Unique sites:
Ru 0.000 0.000 0.250 (multiplicity 4)
Ru 0.000 0.276 0.250 (multiplicity 8)
Rh 0.000 0.500 0.000 (multiplicity 4)
W 0.208 0.140 0.000 (multiplicity 8)


Record 8
Calculated X-ray diffraction stick pattern of YRu2Rh for Cu Kα X-rays, from a PBE-relaxed structure.
Intensities are scaled so that the largest is 100.

Largest 12 diffraction maxima, low angle first, 2θ from 10° to 80°:
(1 1 -1), 38.39°, d 2.345, rel. 100
(0 0 2), 38.63°, d 2.331, rel. 49
(2 0 0), 39.16°, d 2.300, rel. 47
(1 1 1), 43.62°, d 2.075, rel. 69
(2 0 -2), 47.44°, d 1.916, rel. 27
(0 2 0), 62.69°, d 1.482, rel. 11
(1 1 -3), 66.04°, d 1.415, rel. 20
(3 1 -1), 66.77°, d 1.401, rel. 19
(0 2 2), 76.11°, d 1.251, rel. 13
(2 2 0), 76.46°, d 1.246, rel. 13
(1 1 3), 76.91°, d 1.240, rel. 12
(3 1 1), 77.61°, d 1.230, rel. 12

Structure:
a = 4.778 Å, b = 2.964 Å, c = 4.842 Å
α = 90.00°, β = 105.68°, γ = 90.00°
Space group P2/m (No. 10)
Unique sites:
Y 0.000 0.000 0.000 (multiplicity 1)
Ru 0.000 0.500 0.500 (multiplicity 1)
Ru 0.500 0.000 0.500 (multiplicity 1)
Rh 0.500 0.500 0.000 (multiplicity 1)


Record 9
Calculated X-ray diffraction stick pattern of Y8Ru2Rh for Cu Kα X-rays, from a PBE-relaxed structure.
Intensities are scaled so that the largest is 100.

Largest 12 diffraction maxima, low angle first, 2θ from 10° to 80°:
(0 0 1), 15.83°, d 5.600, rel. 26
(1 3 1), 30.93°, d 2.891, rel. 100
(2 0 1), 31.82°, d 2.812, rel. 37
(0 4 1), 32.55°, d 2.751, rel. 75
(3 1 -1), 33.32°, d 2.689, rel. 67
(0 2 2), 35.06°, d 2.560, rel. 39
(2 2 -2), 35.58°, d 2.523, rel. 33
(2 4 0), 36.47°, d 2.464, rel. 40
(3 3 -1), 39.12°, d 2.302, rel. 34
(1 5 -1), 39.23°, d 2.296, rel. 59
(3 3 0), 40.50°, d 2.227, rel. 33
(3 3 -3), 54.58°, d 1.681, rel. 34

Structure:
a = 8.344 Å, b = 12.633 Å, c = 5.934 Å
α = 90.00°, β = 109.33°, γ = 90.00°
Space group Cm (No. 8)
Unique sites:
Y 0.000 0.000 0.000 (multiplicity 2)
Y 0.067 0.370 0.791 (multiplicity 4)
Y 0.151 0.130 0.597 (multiplicity 4)
Y 0.224 0.500 0.378 (multiplicity 2)
Y 0.363 0.213 0.189 (multiplicity 4)
Ru 0.357 0.310 0.689 (multiplicity 4)
Rh 0.365 0.000 0.058 (multiplicity 2)


Record 10
Calculated X-ray diffraction stick pattern of Y2Zn5RuRh2 for Cu Kα X-rays, from a PBE-relaxed structure.
Intensities are scaled so that the largest is 100.

Largest 12 diffraction maxima, low angle first, 2θ from 10° to 80°:
(3 1 0), 29.85°, d 2.993, rel. 10
(2 2 1), 35.52°, d 2.527, rel. 20
(3 1 1), 38.06°, d 2.365, rel. 100
(4 1 0), 39.21°, d 2.297, rel. 26
(3 3 0), 40.40°, d 2.233, rel. 14
(3 2 1), 41.61°, d 2.170, rel. 35
(4 0 1), 44.93°, d 2.017, rel. 11
(0 0 2), 47.19°, d 1.926, rel. 24
(4 4 0), 54.83°, d 1.674, rel. 8
(4 1 2), 62.98°, d 1.476, rel. 12
(3 3 2), 63.83°, d 1.458, rel. 7
(6 1 1), 64.55°, d 1.444, rel. 8

Structure:
a = 9.472 Å, b = 9.472 Å, c = 3.852 Å
α = 90.00°, β = 90.00°, γ = 90.00°
Space group P4/mbm (No. 127)
Unique sites:
Y 0.177 0.323 0.000 (multiplicity 4)
Zn 0.000 0.500 0.500 (multiplicity 2)
Zn 0.055 0.808 0.500 (multiplicity 8)
Ru 0.000 0.000 0.000 (multiplicity 2)
Rh 0.125 0.625 0.000 (multiplicity 4)


Record 11
Calculated X-ray diffraction stick pattern of Zn2RuRh for Cu Kα X-rays, from a PBE-relaxed structure.
Intensities are scaled so that the largest is 100.

Largest 12 diffraction maxima, low angle first, 2θ from 10° to 80°:
(2 0 0), 21.12°, d 4.206, rel. 10
(1 1 -1), 38.45°, d 2.341, rel. 4
(2 0 -2), 39.74°, d 2.268, rel. 52
(1 1 1), 40.29°, d 2.239, rel. 100
(4 0 0), 43.01°, d 2.103, rel. 41
(2 0 2), 46.56°, d 1.950, rel. 33
(3 1 -1), 48.00°, d 1.895, rel. 60
(1 1 -3), 66.77°, d 1.401, rel. 22
(0 2 0), 68.67°, d 1.367, rel. 10
(5 1 1), 71.40°, d 1.321, rel. 17
(6 0 -2), 71.77°, d 1.315, rel. 9
(0 0 4), 79.53°, d 1.205, rel. 6

Structure:
a = 8.542 Å, b = 2.733 Å, c = 4.895 Å
α = 90.00°, β = 99.99°, γ = 90.00°
Space group C2/m (No. 12)
Unique sites:
Zn 0.249 0.000 0.249 (multiplicity 4)
Ru 0.000 0.000 0.500 (multiplicity 2)
Rh 0.000 0.500 0.000 (multiplicity 2)


Record 12
Calculated X-ray diffraction stick pattern of ZnRuRh2 for Cu Kα X-rays, from a PBE-relaxed structure.
Intensities are scaled so that the largest is 100.

Largest 12 diffraction maxima, low angle first, 2θ from 10° to 80°:
(0 0 3), 10.20°, d 8.671, rel. 7
(0 0 6), 20.49°, d 4.335, rel. 2
(0 0 9), 30.94°, d 2.890, rel. 1
(1 0 1), 38.06°, d 2.364, rel. 1
(0 1 2), 38.55°, d 2.336, rel. 1
(1 0 4), 40.44°, d 2.230, rel. 100
(0 0 12), 41.66°, d 2.168, rel. 30
(0 1 5), 41.82°, d 2.160, rel. 1
(0 1 8), 47.41°, d 1.917, rel. 63
(1 0 10), 52.16°, d 1.754, rel. 1
(1 1 0), 68.44°, d 1.371, rel. 20
(1 0 16), 70.16°, d 1.341, rel. 18

Structure:
a = 2.7416 Å, b = 2.7416 Å, c = 26.0128 Å
α = 90.00°, β = 90.00°, γ = 120.00°
Space group R3m (No. 160, hexagonal axes)
Unique sites:
Zn 0.0000 0.0000 0.0000 (multiplicity 3)
Ru 0.0000 0.0000 0.2490 (multiplicity 3)
Rh 0.0000 0.0000 0.5014 (multiplicity 3)
Rh 0.0000 0.0000 0.7484 (multiplicity 3)


Record 13
Calculated X-ray diffraction stick pattern of ZnRuRh2 for Cu Kα X-rays, from a PBE-relaxed structure.
Intensities are scaled so that the largest is 100.

Largest 12 diffraction maxima, low angle first, 2θ from 10° to 80°:
(1 0 0), 20.13°, d 4.412, rel. 5
(1 0 -1), 22.55°, d 3.943, rel. 2
(1 0 -2), 38.18°, d 2.357, rel. 1
(0 1 1), 39.30°, d 2.292, rel. 2
(1 1 -1), 40.68°, d 2.218, rel. 100
(2 0 0), 40.90°, d 2.206, rel. 98
(2 0 -2), 46.04°, d 1.971, rel. 35
(1 1 1), 48.15°, d 1.890, rel. 61
(2 1 -1), 51.62°, d 1.771, rel. 1
(3 1 -1), 68.82°, d 1.364, rel. 40
(0 2 0), 70.16°, d 1.341, rel. 10
(2 0 2), 70.79°, d 1.331, rel. 9

Structure:
a = 4.755 Å, b = 2.683 Å, c = 4.760 Å
α = 90.00°, β = 111.95°, γ = 90.00°
Space group P2/m (No. 10)
Unique sites:
Zn 0.000 0.000 0.000 (multiplicity 1)
Ru 0.000 0.500 0.500 (multiplicity 1)
Rh 0.500 0.000 0.500 (multiplicity 1)
Rh 0.500 0.500 0.000 (multiplicity 1)


Record 14
Calculated X-ray diffraction stick pattern of RhS8 for Cu Kα X-rays, from a PBE-relaxed structure.
Intensities are scaled so that the largest is 100.

Largest 12 diffraction maxima, low angle first, 2θ from 10° to 80°:
(1 0 1), 16.45°, d 5.388, rel. 21
(1 1 0), 17.68°, d 5.017, rel. 17
(0 0 2), 21.46°, d 4.140, rel. 100
(1 1 2), 27.94°, d 3.193, rel. 11
(2 1 1), 30.16°, d 2.963, rel. 9
(3 0 1), 39.63°, d 2.274, rel. 68
(0 0 4), 43.73°, d 2.070, rel. 13
(3 0 3), 50.84°, d 1.796, rel. 31
(3 3 0), 54.90°, d 1.672, rel. 12
(3 3 2), 59.62°, d 1.551, rel. 18
(3 0 5), 69.26°, d 1.357, rel. 12
(3 3 4), 72.68°, d 1.301, rel. 10

Structure:
a = 7.095 Å, b = 7.095 Å, c = 8.280 Å
α = 90.00°, β = 90.00°, γ = 90.00°
Space group I4/mmm (No. 139)
Unique sites:
Rh 0.000 0.000 0.000 (multiplicity 2)
S 0.000 0.322 0.000 (multiplicity 8)
S 0.154 0.154 0.500 (multiplicity 8)


Record 15
Calculated X-ray diffraction stick pattern of SrRhS for Cu Kα X-rays, from a PBE-relaxed structure.
Intensities are scaled so that the largest is 100.

Largest 12 diffraction maxima, low angle first, 2θ from 10° to 80°:
(2 0 0), 15.97°, d 5.549, rel. 12
(0 0 2), 26.80°, d 3.327, rel. 16
(0 1 1), 27.74°, d 3.216, rel. 68
(1 0 2), 28.00°, d 3.187, rel. 13
(4 0 0), 32.19°, d 2.781, rel. 35
(3 0 2), 36.32°, d 2.474, rel. 65
(3 1 1), 37.04°, d 2.427, rel. 100
(0 1 3), 47.91°, d 1.899, rel. 33
(6 0 0), 49.30°, d 1.849, rel. 16
(0 2 0), 49.64°, d 1.837, rel. 18
(3 2 2), 63.04°, d 1.475, rel. 25
(5 1 3), 64.59°, d 1.443, rel. 12

Structure:
a = 11.099 Å, b = 3.673 Å, c = 6.654 Å
α = 90.00°, β = 90.00°, γ = 90.00°
Space group Amm2 (No. 38)
Unique sites:
Sr 0.190 0.000 0.000 (multiplicity 4)
Rh 0.000 0.000 0.322 (multiplicity 2)
Rh 0.500 0.000 0.050 (multiplicity 2)
S 0.374 0.000 0.331 (multiplicity 4)